(1)
For HfBe4Tc, a PBE-relaxed structure gives the theoretical powder diffraction line list in this record (Cu Kα X-rays).
Intensities are scaled so that the largest is 100.

Top 8 peaks for 10° ≤ 2θ ≤ 90°, by angle:
| Position (°2θ) | intensity |
| --- | --- |
| 23.89 | 100 |
| 39.51 | 86 |
| 46.70 | 64 |
| 57.11 | 12 |
| 62.78 | 21 |
| 71.67 | 30 |
| 76.77 | 20 |
| 89.98 | 17 |

Atomic structure:
a b c (Å): 4.5617 4.5617 4.5617
angles (deg): 60.00 60.00 60.00
Atoms (fractional coordinates):
Hf (0.0000, 0.0000, 0.0000)
Be (0.1313, 0.6229, 0.6229)
Be (0.6229, 0.1313, 0.6229)
Be (0.6229, 0.6229, 0.1313)
Be (0.6229, 0.6229, 0.6229)
Tc (0.2500, 0.2500, 0.2500)

(2)
For RbCu4Se4, a PBE-relaxed structure gives the theoretical powder diffraction line list in this record (Cu Kα X-rays).
Intensities are scaled so that the largest is 100.

Top 8 peaks for 10° ≤ 2θ ≤ 90°, by angle:
| Position (°2θ) | intensity |
| --- | --- |
| 26.28 | 20 |
| 28.65 | 100 |
| 32.25 | 34 |
| 32.76 | 39 |
| 41.93 | 27 |
| 44.84 | 78 |
| 53.76 | 26 |
| 56.63 | 46 |

Atomic structure:
a b c (Å): 4.0427 4.0427 13.6673
angles (deg): 90.00 90.00 120.00
Atoms (fractional coordinates):
Rb (0.0000, 0.0000, 0.0000)
Cu (0.3333, 0.6667, 0.3586)
Cu (0.3333, 0.6667, 0.7884)
Cu (0.6667, 0.3333, 0.2116)
Cu (0.6667, 0.3333, 0.6414)
Se (0.0000, 0.0000, 0.4115)
Se (0.0000, 0.0000, 0.5885)
Se (0.3333, 0.6667, 0.1801)
Se (0.6667, 0.3333, 0.8199)

(3)
For CsNbBr6, a PBE-relaxed structure gives the theoretical powder diffraction line list in this record (Cu Kα X-rays).
Intensities are scaled so that the largest is 100.

Top 8 peaks for 10° ≤ 2θ ≤ 90°, by angle:
| Position (°2θ) | intensity |
| --- | --- |
| 16.51 | 58 |
| 22.63 | 99 |
| 28.39 | 100 |
| 29.44 | 80 |
| 36.07 | 53 |
| 36.41 | 74 |
| 41.66 | 46 |
| 49.59 | 56 |

Atomic structure:
a b c (Å): 7.8967 7.8967 7.8967
angles (deg): 55.49 55.49 55.49
Atoms (fractional coordinates):
Cs (0.0000, 0.0000, 0.0000)
Nb (0.5000, 0.5000, 0.5000)
Br (0.1002, 0.5899, 0.5899)
Br (0.4101, 0.4101, 0.8998)
Br (0.4101, 0.8998, 0.4101)
Br (0.5899, 0.1002, 0.5899)
Br (0.5899, 0.5899, 0.1002)
Br (0.8998, 0.4101, 0.4101)

(4)
For Gd2DyCd3Au3, a PBE-relaxed structure gives the theoretical powder diffraction line list in this record (Cu Kα X-rays).
Intensities are scaled so that the largest is 100.

Top 8 peaks for 10° ≤ 2θ ≤ 90°, by angle:
| Position (°2θ) | intensity |
| --- | --- |
| 32.31 | 73 |
| 35.00 | 100 |
| 35.09 | 19 |
| 39.96 | 51 |
| 42.15 | 38 |
| 46.21 | 23 |
| 62.71 | 27 |
| 64.50 | 23 |

Atomic structure:
a b c (Å): 3.9293 7.8115 7.8115
angles (deg): 119.88 90.00 90.00
Atoms (fractional coordinates):
Gd (0.0000, 0.2019, 0.7981)
Gd (0.0000, 0.7981, 0.2019)
Dy (0.0000, 0.3942, 0.3942)
Cd (0.5000, 0.0598, 0.0598)
Cd (0.5000, 0.5364, 0.7976)
Cd (0.5000, 0.7976, 0.5364)
Au (0.0000, 0.7974, 0.7974)
Au (0.5000, 0.1329, 0.4644)
Au (0.5000, 0.4644, 0.1329)

(5)
For Tl3Fe, a PBE-relaxed structure gives the theoretical powder diffraction line list in this record (Cu Kα X-rays).
Intensities are scaled so that the largest is 100.

Top 8 peaks for 10° ≤ 2θ ≤ 90°, by angle:
| Position (°2θ) | intensity |
| --- | --- |
| 20.74 | 10 |
| 23.99 | 5 |
| 34.19 | 100 |
| 40.32 | 6 |
| 49.13 | 18 |
| 61.21 | 38 |
| 72.01 | 12 |
| 82.18 | 17 |

Atomic structure:
a b c (Å): 5.2454 5.2454 5.2454
angles (deg): 60.00 60.00 60.00
Atoms (fractional coordinates):
Tl (0.0000, 0.0000, 0.0000)
Tl (0.2500, 0.2500, 0.2500)
Tl (0.7500, 0.7500, 0.7500)
Fe (0.5000, 0.5000, 0.5000)